This entry pairs a crystal structure of Na5AgGe2Se7 with its computed powder diffraction line list. Radiation: copper Kα. Structure: a DFT-relaxed cell (GGA-PBE, the Materials Project).
Peak positions follow from Bragg's law for the DFT cell and can differ from measured ones.

The 10 most intense peaks (10 to 90 degrees two-theta), low angle first:
index	2θ (°)	I_rel
1 1 -1	12.72	43
1 1 2	18.30	100
2 0 -2	19.47	68
1 1 3	23.09	57
2 2 -1	24.43	41
3 1 -1	28.11	58
0 2 4	28.88	47
1 3 -3	30.84	87
0 2 5	34.03	47
3 3 -5	44.23	42

Crystal structure
```
data_Na5AgGe2Se7
_cell_length_a 9.9632
_cell_length_b 10.7621
_cell_length_c 15.4681
_cell_angle_alpha 90.00
_cell_angle_beta 102.39
_cell_angle_gamma 90.00
_symmetry_space_group_name_H-M 'C 1 2/c 1'
_symmetry_Int_Tables_number 15
loop_
_symmetry_equiv_pos_as_xyz
'x,y,z'
'-x,-y,-z'
'-x,y,-z+1/2'
'x,-y,z+1/2'
'x+1/2,y+1/2,z'
'-x+1/2,-y+1/2,-z'
'-x+1/2,y+1/2,-z+1/2'
'x+1/2,-y+1/2,z+1/2'
loop_
_atom_site_label
_atom_site_fract_x
_atom_site_fract_y
_atom_site_fract_z
_atom_site_occupancy
Na1 0.0000 0.0000 0.0000 1
Na2 0.1185 0.3596 0.0851 1
Na3 0.2255 0.2603 0.6443 1
Ag1 0.0000 0.0871 0.7500 1
Ge1 0.1612 0.4234 0.8573 1
Se1 0.0000 0.4531 0.2500 1
Se2 0.0724 0.2312 0.8955 1
Se3 0.1346 0.1140 0.1933 1
Se4 0.2003 0.4289 0.4738 1
```